(1)
# Nb5Mo3
Calculated powder X-ray diffraction pattern, λ = 1.5418 Å (Cu Kα). Input: a GGA-PBE-relaxed structure.
Peak positions follow from Bragg's law for the DFT cell and can differ from measured ones.

Structure:
```
Nb5Mo3
1.0
3.243 0.000 0.000
0.000 3.243 0.000
0.000 0.000 13.089
Nb Mo
5 3
Cartesian
0.000 0.000 0.000 Nb
0.000 0.000 3.196 Nb
0.000 0.000 9.893 Nb
1.622 1.622 4.953 Nb
1.622 1.622 8.136 Nb
0.000 0.000 6.545 Mo
1.622 1.622 1.631 Mo
1.622 1.622 11.458 Mo
```

Principal peaks in the range 2θ from 10° to 90°, sorted by position:
| two_theta | d (Å) | I (rel.) |
| --- | --- | --- |
| 39.10 | 2.304 | 100 |
| 39.29 | 2.293 | 50 |
| 56.22 | 1.636 | 8 |
| 56.77 | 1.622 | 17 |
| 70.73 | 1.332 | 16 |
| 71.09 | 1.326 | 33 |
| 84.03 | 1.152 | 10 |
| 84.49 | 1.147 | 5 |

(2)
# Tb7NdSm2
Calculated powder X-ray diffraction pattern, λ = 1.5418 Å (Cu Kα). Input: a GGA-PBE-relaxed structure.
Peak positions follow from Bragg's law for the DFT cell and can differ from measured ones.

Structure:
```
Tb7NdSm2
1.0
6.206 0.000 0.000
-1.030 6.127 0.000
-3.095 -2.610 8.573
Tb Nd Sm
7 1 2
Cartesian
0.000 0.000 0.000 Tb
-2.065 0.712 7.721 Tb
0.012 -1.043 3.427 Tb
1.034 2.280 2.562 Tb
1.047 1.237 6.011 Tb
2.069 4.561 5.146 Tb
4.146 2.806 0.852 Tb
-2.062 1.759 4.286 Nd
0.006 -2.082 6.863 Sm
2.076 5.600 1.710 Sm
```

Principal peaks in the range 2θ from 10° to 90°, sorted by position:
| two_theta | d (Å) | I (rel.) |
| --- | --- | --- |
| 30.53 | 2.928 | 100 |
| 35.40 | 2.536 | 51 |
| 50.95 | 1.792 | 30 |
| 60.53 | 1.530 | 25 |
| 60.60 | 1.528 | 18 |
| 63.50 | 1.465 | 6 |
| 83.01 | 1.163 | 7 |
| 85.68 | 1.134 | 11 |

(3)
# Pm4CdAu2
Calculated powder X-ray diffraction pattern, λ = 1.5418 Å (Cu Kα). Input: a GGA-PBE-relaxed structure.
Peak positions follow from Bragg's law for the DFT cell and can differ from measured ones.

Structure:
```
Pm4CdAu2
1.0
0.000 6.384 7.375
4.635 0.000 7.375
4.635 6.384 0.000
Pm Cd Au
8 2 4
Cartesian
4.003 1.854 4.846 Pm
4.003 4.530 2.529 Pm
6.324 5.040 6.224 Pm
0.632 1.854 2.529 Pm
6.324 7.727 8.526 Pm
0.632 4.530 4.846 Pm
2.945 5.040 8.526 Pm
2.945 7.727 6.224 Pm
0.000 0.000 0.000 Cd
6.952 9.576 11.063 Cd
3.478 4.789 5.530 Au
5.791 7.978 5.530 Au
5.791 4.789 9.220 Au
3.478 7.978 9.220 Au
```

Principal peaks in the range 2θ from 10° to 90°, sorted by position:
| two_theta | d (Å) | I (rel.) |
| --- | --- | --- |
| 13.24 | 6.686 | 30 |
| 24.13 | 3.688 | 32 |
| 27.95 | 3.192 | 56 |
| 30.37 | 2.943 | 100 |
| 32.62 | 2.745 | 67 |
| 37.02 | 2.428 | 27 |
| 37.26 | 2.413 | 42 |
| 48.54 | 1.875 | 34 |

(4)
# CuPdS6
Calculated powder X-ray diffraction pattern, λ = 1.5418 Å (Cu Kα). Input: a GGA-PBE-relaxed structure.
Peak positions follow from Bragg's law for the DFT cell and can differ from measured ones.

Structure:
```
CuPdS6
1.0
5.497 0.000 0.000
-0.219 5.561 0.000
-2.077 -2.190 5.529
Cu Pd S
1 1 6
Cartesian
0.000 0.000 0.000 Cu
2.639 2.781 0.000 Pd
-1.628 1.190 4.910 S
0.376 -1.091 3.878 S
1.603 0.250 1.647 S
1.599 3.121 3.882 S
2.826 4.463 1.651 S
4.830 2.181 0.618 S
```

Principal peaks in the range 2θ from 10° to 90°, sorted by position:
| two_theta | d (Å) | I (rel.) |
| --- | --- | --- |
| 16.03 | 5.529 | 100 |
| 23.46 | 3.792 | 24 |
| 27.60 | 3.232 | 42 |
| 30.48 | 2.933 | 79 |
| 32.38 | 2.765 | 20 |
| 34.70 | 2.585 | 21 |
| 35.08 | 2.558 | 20 |
| 48.55 | 1.875 | 21 |